Structure and theoretical X-ray diffraction stick pattern of Li5CuSO2 (the GGA-PBE geometry in the Materials Project; Cu Kα X-rays).

Cell and atoms:
abc: 3.863 3.863 7.750
angles: 90.00 90.00 90.00
Element x y z (fractional)
Li: 0.000 0.000 0.000
Li: 0.000 0.500 0.222
Li: 0.000 0.500 0.778
Li: 0.500 0.000 0.222
Li: 0.500 0.000 0.778
Cu: 0.000 0.000 0.500
S: 0.500 0.500 0.000
O: 0.000 0.000 0.265
O: 0.000 0.000 0.735

Main lines, sorted by position (2θ from 10° to 80°):
| h k l | two_theta | intensity |
| --- | --- | --- |
| 1 0 0 | 23.01 | 45.7 |
| 1 0 1 | 25.77 | 100.0 |
| 1 1 0 | 32.78 | 38.0 |
| 1 1 2 | 40.40 | 25.4 |
| 1 0 3 | 42.08 | 19.3 |
| 2 0 0 | 47.04 | 22.3 |
| 2 1 0 | 52.99 | 10.5 |
| 2 1 1 | 54.41 | 21.8 |
| 1 1 4 | 58.40 | 12.4 |
| 2 0 4 | 68.60 | 11.5 |